Simulated X-ray powder pattern of Ba2Zn3Sn5 for Cu Kα, from DFT lattice parameters and positions (PBE).

Cell and atoms:
Cell lengths 9.6937, 9.6937, 9.6937 Å; angles 109.54, 85.98, 137.36 degrees
Fractional coordinates of all 20 atoms:
Ba1 0.1254 0.2413 0.3667
Ba2 0.3746 0.7413 0.1159
Ba3 0.6254 0.2587 0.8841
Ba4 0.8746 0.7587 0.6333
Zn1 0.1220 0.6288 0.7507
Zn2 0.2500 0.2500 0.0000
Zn3 0.3780 0.1288 0.5068
Zn4 0.6220 0.8712 0.4932
Zn5 0.7500 0.7500 0.0000
Zn6 0.8780 0.3712 0.2493
Sn1 0.0096 0.7500 0.2596
Sn2 0.1152 0.8706 0.9857
Sn3 0.2500 0.7500 0.5000
Sn4 0.3848 0.3706 0.7554
Sn5 0.4904 0.7500 0.7404
Sn6 0.5096 0.2500 0.2596
Sn7 0.6152 0.6294 0.2446
Sn8 0.7500 0.2500 0.5000
Sn9 0.8848 0.1294 0.0143
Sn10 0.9904 0.2500 0.7404

Top 10 peaks for 2θ from 15° to 90°, sorted by position:
two_theta, d [Å], I/Imax
29.87, 2.991, 100
29.97, 2.982, 50
35.93, 2.499, 69
41.21, 2.190, 13
44.37, 2.042, 21
47.33, 1.921, 14
47.50, 1.914, 14
55.75, 1.649, 13
61.01, 1.519, 13
78.37, 1.220, 14